Computed powder diffractogram
Compound: MnRuRh
Radiation: Cu Kα (λ = 1.5418 Å)
Structure: a DFT-relaxed cell (GGA-PBE, Alexandria)
Intensities are scaled so that the largest is 100.

```
data_MnRuRh
_space_group_name_H-M_alt 'C 1 2 1'
_space_group_IT_number 5
_cell_length_a 8.068
_cell_length_b 4.677
_cell_length_c 5.100
_cell_angle_alpha 90.00
_cell_angle_beta 122.21
_cell_angle_gamma 90.00
loop_
_space_group_symop_operation_xyz
'x,y,z'
'-x,y,-z'
'x+1/2,y+1/2,z'
'-x+1/2,y+1/2,-z'
loop_
_atom_site_label
_atom_site_type_symbol
_atom_site_fract_x
_atom_site_fract_y
_atom_site_fract_z
Mn1 Mn 0.000 0.000 0.000
Mn2 Mn 0.000 0.170 0.500
Ru1 Ru 0.172 0.496 0.003
Rh1 Rh 0.168 0.670 0.500
```

Most intense lines, 10° ≤ 2θ ≤ 90°, in order of rising 2θ:
d/Å, I (rel.), hkl
2.339, 10.6, 0 2 0
2.331, 25.8, 3 1 -1
2.158, 38.3, 0 0 2
2.056, 100.0, 0 2 1
2.046, 47.4, 3 1 0
1.587, 13.6, 3 1 -3
1.349, 15.8, 3 3 -1
1.225, 9.0, 0 2 3
1.145, 14.0, 3 3 -3
1.142, 9.2, 3 3 1

=====

Computed powder diffractogram
Compound: MnRhS2
Radiation: Cu Kα (λ = 1.5418 Å)
Structure: a DFT-relaxed cell (GGA-PBE, Alexandria)
Intensities are scaled so that the largest is 100.

```
data_MnRhS2
_space_group_name_H-M_alt 'P 3 m 1'
_space_group_IT_number 156
_cell_length_a 3.8286
_cell_length_b 3.8286
_cell_length_c 6.0913
_cell_angle_alpha 90.00
_cell_angle_beta 90.00
_cell_angle_gamma 120.00
loop_
_space_group_symop_operation_xyz
'x,y,z'
'-y,x-y,z'
'-x+y,-x,z'
'-y,-x,z'
'-x+y,y,z'
'x,x-y,z'
loop_
_atom_site_label
_atom_site_type_symbol
_atom_site_fract_x
_atom_site_fract_y
_atom_site_fract_z
Mn1 Mn 0.0000 0.0000 0.0000
Rh1 Rh 0.3333 0.6667 0.4595
S1 S 0.0000 0.0000 0.3705
S2 S 0.3333 0.6667 0.8460
```

Most intense lines, 10° ≤ 2θ ≤ 90°, in order of rising 2θ:
d/Å, I (rel.), hkl
6.091, 26.4, 0 0 1
3.316, 93.7, 1 0 0
3.046, 52.5, 0 0 2
2.912, 100.0, 0 1 1
2.243, 42.1, 1 0 2
1.914, 63.5, 1 1 0
1.732, 53.6, 0 1 3
1.621, 44.5, 1 1 2
1.600, 16.2, 2 0 1
1.284, 19.0, 2 0 3

=====

Computed powder diffractogram
Compound: MnSbRh
Radiation: Cu Kα (λ = 1.5418 Å)
Structure: a DFT-relaxed cell (GGA-PBE, Alexandria)
Intensities are scaled so that the largest is 100.

```
data_MnSbRh
_space_group_name_H-M_alt 'F -4 3 m'
_space_group_IT_number 216
_space_group_name_Hall 'F -4 2 3'
_cell_length_a 6.100
_cell_length_b 6.100
_cell_length_c 6.100
_cell_angle_alpha 90.00
_cell_angle_beta 90.00
_cell_angle_gamma 90.00
loop_
_atom_site_label
_atom_site_type_symbol
_atom_site_fract_x
_atom_site_fract_y
_atom_site_fract_z
Mn1 Mn 0.000 0.000 0.000
Sb1 Sb 0.000 0.000 0.500
Rh1 Rh 0.250 0.250 0.250
```

Most intense lines, 10° ≤ 2θ ≤ 90°, in order of rising 2θ:
d/Å, I (rel.), hkl
3.522, 50.0, 1 1 1
3.050, 8.6, 2 0 0
2.157, 100.0, 2 2 0
1.839, 23.8, 3 1 1
1.761, 2.1, 2 2 2
1.525, 16.1, 4 0 0
1.399, 9.7, 3 3 1
1.364, 2.6, 4 2 0
1.245, 32.0, 4 2 2
1.174, 7.4, 5 1 1

=====

Computed powder diffractogram
Compound: Mn2Si2Rh3
Radiation: Cu Kα (λ = 1.5418 Å)
Structure: a DFT-relaxed cell (GGA-PBE, Alexandria)
Intensities are scaled so that the largest is 100.

```
data_Mn2Si2Rh3
_space_group_name_H-M_alt 'C 1 2/m 1'
_space_group_IT_number 12
_cell_length_a 7.184
_cell_length_b 4.157
_cell_length_c 7.251
_cell_angle_alpha 90.00
_cell_angle_beta 109.43
_cell_angle_gamma 90.00
loop_
_space_group_symop_operation_xyz
'x,y,z'
'-x,-y,-z'
'-x,y,-z'
'x,-y,z'
'x+1/2,y+1/2,z'
'-x+1/2,-y+1/2,-z'
'-x+1/2,y+1/2,-z'
'x+1/2,-y+1/2,z'
loop_
_atom_site_label
_atom_site_type_symbol
_atom_site_fract_x
_atom_site_fract_y
_atom_site_fract_z
Mn1 Mn 0.130 0.000 0.391
Si1 Si 0.111 0.500 0.834
Rh1 Rh 0.000 0.000 0.000
Rh2 Rh 0.240 0.500 0.220
```

Most intense lines, 10° ≤ 2θ ≤ 90°, in order of rising 2θ:
d/Å, I (rel.), hkl
6.839, 23.3, 0 0 1
3.542, 29.8, 1 1 0
2.944, 24.2, 1 1 1
2.272, 44.1, 2 0 -3
2.090, 56.4, 1 1 -3
2.085, 28.0, 2 0 2
2.076, 100.0, 0 2 0
1.472, 26.4, 2 2 2
1.202, 17.6, 4 2 -4
1.199, 19.3, 3 3 -1

=====

Computed powder diffractogram
Compound: MnSiRh3
Radiation: Cu Kα (λ = 1.5418 Å)
Structure: a DFT-relaxed cell (GGA-PBE, Alexandria)
Intensities are scaled so that the largest is 100.

```
data_MnSiRh3
_space_group_name_H-M_alt 'P m -3 m'
_space_group_IT_number 221
_space_group_name_Hall '-P 4 2 3'
_cell_length_a 4.347
_cell_length_b 4.347
_cell_length_c 4.347
_cell_angle_alpha 90.00
_cell_angle_beta 90.00
_cell_angle_gamma 90.00
loop_
_atom_site_label
_atom_site_type_symbol
_atom_site_fract_x
_atom_site_fract_y
_atom_site_fract_z
Mn1 Mn 0.000 0.000 0.000
Si1 Si 0.500 0.500 0.500
Rh1 Rh 0.000 0.500 0.500
```

Most intense lines, 10° ≤ 2θ ≤ 90°, in order of rising 2θ:
d/Å, I (rel.), hkl
4.347, 16.7, 1 0 0
3.074, 0.9, 1 1 0
2.510, 100.0, 1 1 1
2.174, 66.4, 2 0 0
1.944, 7.3, 2 1 0
1.537, 43.0, 2 2 0
1.449, 3.6, 3 0 0
1.311, 36.3, 3 1 1
1.255, 14.3, 2 2 2
1.206, 1.6, 3 2 0

=====

Computed powder diffractogram
Compound: Mn2TcRh
Radiation: Cu Kα (λ = 1.5418 Å)
Structure: a DFT-relaxed cell (GGA-PBE, Alexandria)
Intensities are scaled so that the largest is 100.

```
data_Mn2TcRh
_space_group_name_H-M_alt 'A m m 2'
_space_group_IT_number 38
_cell_length_a 4.053
_cell_length_b 2.642
_cell_length_c 9.654
_cell_angle_alpha 90.00
_cell_angle_beta 90.00
_cell_angle_gamma 90.00
loop_
_space_group_symop_operation_xyz
'x,y,z'
'-x,-y,z'
'-x,y,z'
'x,-y,z'
'x,y+1/2,z+1/2'
'-x,-y+1/2,z+1/2'
'-x,y+1/2,z+1/2'
'x,-y+1/2,z+1/2'
loop_
_atom_site_label
_atom_site_type_symbol
_atom_site_fract_x
_atom_site_fract_y
_atom_site_fract_z
Mn1 Mn 0.000 0.000 0.000
Mn2 Mn 0.500 0.000 0.118
Tc1 Tc 0.500 0.000 0.383
Rh1 Rh 0.000 0.000 0.734
```

Most intense lines, 10° ≤ 2θ ≤ 90°, in order of rising 2θ:
d/Å, I (rel.), hkl
3.104, 22.6, 1 0 2
2.157, 100.0, 1 1 1
2.074, 83.1, 1 0 4
2.042, 53.4, 0 1 3
2.026, 41.1, 2 0 0
1.438, 33.1, 2 1 3
1.194, 13.9, 3 1 1
1.179, 12.2, 3 0 4
1.170, 17.7, 1 1 7
1.114, 20.7, 1 2 4

=====

Computed powder diffractogram
Compound: MnTeRh3
Radiation: Cu Kα (λ = 1.5418 Å)
Structure: a DFT-relaxed cell (GGA-PBE, Alexandria)
Intensities are scaled so that the largest is 100.

```
data_MnTeRh3
_space_group_name_H-M_alt 'P m -3 m'
_space_group_IT_number 221
_space_group_name_Hall '-P 4 2 3'
_cell_length_a 4.501
_cell_length_b 4.501
_cell_length_c 4.501
_cell_angle_alpha 90.00
_cell_angle_beta 90.00
_cell_angle_gamma 90.00
loop_
_atom_site_label
_atom_site_type_symbol
_atom_site_fract_x
_atom_site_fract_y
_atom_site_fract_z
Mn1 Mn 0.000 0.000 0.000
Te1 Te 0.500 0.500 0.500
Rh1 Rh 0.000 0.000 0.500
```

Most intense lines, 10° ≤ 2θ ≤ 90°, in order of rising 2θ:
d/Å, I (rel.), hkl
4.501, 3.4, 1 0 0
3.182, 9.7, 1 1 0
2.598, 100.0, 1 1 1
2.250, 82.4, 2 0 0
1.837, 3.8, 2 1 1
1.591, 54.4, 2 2 0
1.357, 38.9, 3 1 1
1.299, 18.0, 2 2 2
1.203, 1.7, 3 2 1
1.125, 8.6, 4 0 0

=====

Computed powder diffractogram
Compound: Ti3MnRh6
Radiation: Cu Kα (λ = 1.5418 Å)
Structure: a DFT-relaxed cell (GGA-PBE, Alexandria)
Intensities are scaled so that the largest is 100.

```
data_Ti3MnRh6
_space_group_name_H-M_alt 'P 1 21/m 1'
_space_group_IT_number 11
_cell_length_a 7.430
_cell_length_b 4.415
_cell_length_c 9.612
_cell_angle_alpha 90.00
_cell_angle_beta 112.25
_cell_angle_gamma 90.00
loop_
_space_group_symop_operation_xyz
'x,y,z'
'-x,-y,-z'
'-x,y+1/2,-z'
'x,-y+1/2,z'
loop_
_atom_site_label
_atom_site_type_symbol
_atom_site_fract_x
_atom_site_fract_y
_atom_site_fract_z
Ti1 Ti 0.028 0.250 0.377
Ti2 Ti 0.137 0.750 0.210
Ti3 Ti 0.290 0.250 0.983
Mn1 Mn 0.456 0.250 0.575
Rh1 Rh 0.041 0.750 0.918
Rh2 Rh 0.171 0.250 0.673
Rh3 Rh 0.239 0.750 0.506
Rh4 Rh 0.345 0.750 0.827
Rh5 Rh 0.351 0.250 0.287
Rh6 Rh 0.430 0.750 0.136
```

Most intense lines, 10° ≤ 2θ ≤ 90°, in order of rising 2θ:
d/Å, I (rel.), hkl
3.190, 21.8, 1 1 -2
2.308, 42.2, 2 0 -4
2.207, 63.9, 0 2 0
2.146, 100.0, 3 1 -1
2.116, 97.8, 1 1 3
2.045, 34.1, 2 1 -4
1.595, 25.8, 2 2 -4
1.262, 17.5, 3 3 -1
1.256, 16.9, 1 3 3
1.201, 15.5, 4 2 2

=====

Computed powder diffractogram
Compound: Ti4MnRh
Radiation: Cu Kα (λ = 1.5418 Å)
Structure: a DFT-relaxed cell (GGA-PBE, Alexandria)
Intensities are scaled so that the largest is 100.

```
data_Ti4MnRh
_space_group_name_H-M_alt 'P 4/m m m'
_space_group_IT_number 123
_space_group_name_Hall '-P 4 2'
_cell_length_a 3.059
_cell_length_b 3.059
_cell_length_c 9.575
_cell_angle_alpha 90.00
_cell_angle_beta 90.00
_cell_angle_gamma 90.00
loop_
_atom_site_label
_atom_site_type_symbol
_atom_site_fract_x
_atom_site_fract_y
_atom_site_fract_z
Ti1 Ti 0.000 0.000 0.148
Ti2 Ti 0.500 0.500 0.335
Mn1 Mn 0.500 0.500 0.000
Rh1 Rh 0.000 0.000 0.500
```

Most intense lines, 10° ≤ 2θ ≤ 90°, in order of rising 2θ:
d/Å, I (rel.), hkl
4.787, 12.6, 0 0 2
2.914, 6.0, 1 0 1
2.578, 6.1, 1 0 2
2.208, 100.0, 1 0 3
2.163, 48.3, 1 1 0
1.596, 7.6, 0 0 6
1.529, 14.8, 2 0 0
1.284, 13.9, 1 1 6
1.257, 28.4, 2 1 3
1.104, 8.6, 2 0 6

=====

Computed powder diffractogram
Compound: TiMnRh6
Radiation: Cu Kα (λ = 1.5418 Å)
Structure: a DFT-relaxed cell (GGA-PBE, Alexandria)
Intensities are scaled so that the largest is 100.

```
data_TiMnRh6
_space_group_name_H-M_alt 'P 4/m m m'
_space_group_IT_number 123
_space_group_name_Hall '-P 4 2'
_cell_length_a 5.424
_cell_length_b 5.424
_cell_length_c 3.838
_cell_angle_alpha 90.00
_cell_angle_beta 90.00
_cell_angle_gamma 90.00
loop_
_atom_site_label
_atom_site_type_symbol
_atom_site_fract_x
_atom_site_fract_y
_atom_site_fract_z
Ti1 Ti 0.000 0.000 0.000
Mn1 Mn 0.500 0.500 0.000
Rh1 Rh 0.000 0.500 0.000
Rh2 Rh 0.251 0.251 0.500
```

Most intense lines, 10° ≤ 2θ ≤ 90°, in order of rising 2θ:
d/Å, I (rel.), hkl
3.837, 7.0, 1 1 0
2.713, 5.7, 2 0 0
2.215, 100.0, 2 0 1
1.918, 48.0, 2 2 0
1.716, 3.1, 3 1 0
1.566, 2.3, 3 1 1
1.356, 29.6, 4 0 0
1.279, 1.5, 3 1 2
1.157, 35.2, 4 2 1
1.108, 10.4, 4 0 2

=====

Computed powder diffractogram
Compound: Ti5Mn2Zn2Rh
Radiation: Cu Kα (λ = 1.5418 Å)
Structure: a DFT-relaxed cell (GGA-PBE, Alexandria)
Intensities are scaled so that the largest is 100.

```
data_Ti5Mn2Zn2Rh
_space_group_name_H-M_alt 'P 4/m b m'
_space_group_IT_number 127
_space_group_name_Hall '-P 4 2ab'
_cell_length_a 10.166
_cell_length_b 10.166
_cell_length_c 3.028
_cell_angle_alpha 90.00
_cell_angle_beta 90.00
_cell_angle_gamma 90.00
loop_
_atom_site_label
_atom_site_type_symbol
_atom_site_fract_x
_atom_site_fract_y
_atom_site_fract_z
Ti1 Ti 0.000 0.500 0.000
Ti2 Ti 0.077 0.200 0.000
Mn1 Mn 0.129 0.371 0.500
Zn1 Zn 0.171 0.671 0.500
Rh1 Rh 0.000 0.000 0.500
```

Most intense lines, 10° ≤ 2θ ≤ 90°, in order of rising 2θ:
d/Å, I (rel.), hkl
3.594, 9.6, 2 2 0
3.215, 17.7, 3 1 0
2.466, 32.3, 4 1 0
2.316, 17.6, 2 2 1
2.273, 25.5, 4 2 0
2.204, 100.0, 3 1 1
2.063, 22.8, 3 2 1
1.514, 14.0, 0 0 2
1.479, 8.9, 6 0 1
1.260, 9.3, 4 2 2

=====

Computed powder diffractogram
Compound: UMn2Rh5
Radiation: Cu Kα (λ = 1.5418 Å)
Structure: a DFT-relaxed cell (GGA-PBE, Alexandria)
Intensities are scaled so that the largest is 100.

```
data_UMn2Rh5
_space_group_name_H-M_alt 'F m m 2'
_space_group_IT_number 42
_space_group_name_Hall 'F 2 -2'
_cell_length_a 5.708
_cell_length_b 9.077
_cell_length_c 9.444
_cell_angle_alpha 90.00
_cell_angle_beta 90.00
_cell_angle_gamma 90.00
loop_
_atom_site_label
_atom_site_type_symbol
_atom_site_fract_x
_atom_site_fract_y
_atom_site_fract_z
U1 U 0.000 0.000 0.000
Mn1 Mn 0.000 0.226 0.681
Rh1 Rh 0.000 0.000 0.500
Rh2 Rh 0.238 0.000 0.248
Rh3 Rh 0.250 0.250 0.430
```

Most intense lines, 10° ≤ 2θ ≤ 90°, in order of rising 2θ:
d/Å, I (rel.), hkl
4.539, 13.9, 0 2 0
2.443, 20.1, 2 0 2
2.361, 18.4, 0 0 4
2.269, 34.1, 0 4 0
2.151, 100.0, 2 2 2
2.094, 33.7, 0 2 4
1.663, 12.6, 2 4 2
1.378, 13.2, 2 0 6
1.286, 17.3, 2 6 2
1.178, 15.3, 2 4 6

=====

Q: What is the formula in the third record?
A: MnSbRh